(1)
For PrTh, a crystal structure in the Materials Project, relaxed with GGA-PBE gives the calculated powder XRD pattern in this record (Cu Kα, 1.54184 Å).
Kinematic intensities with the Lorentz-polarization factor, no thermal factor.

Structure:
```
data_PrTh
_cell_length_a 3.6041
_cell_length_b 3.6041
_cell_length_c 18.0510
_cell_angle_alpha 90.00
_cell_angle_beta 90.00
_cell_angle_gamma 120.00
_space_group_name_H-M_alt 'R -3 m'
_space_group_IT_number 166
_space_group_name_Hall '-R 3 2"'
loop_
_atom_site_label
_atom_site_fract_x
_atom_site_fract_y
_atom_site_fract_z
Pr1 0.0000 0.0000 0.0000
Th1 0.0000 0.0000 0.5000
```

The 10 most intense peaks (2θ from 10° to 90°), by intensity:
| two_theta | intensity |
| --- | --- |
| 30.30 | 100.0 |
| 34.95 | 68.8 |
| 29.69 | 35.1 |
| 59.82 | 29.8 |
| 49.87 | 25.5 |
| 50.66 | 24.4 |
| 59.12 | 15.4 |
| 60.17 | 14.6 |
| 63.03 | 12.7 |
| 82.45 | 12.2 |


(2)
For Pr3Ti, a crystal structure in the Materials Project, relaxed with GGA-PBE gives the calculated powder XRD pattern in this record (Cu Kα, 1.54184 Å).
Kinematic intensities with the Lorentz-polarization factor, no thermal factor.

Structure:
```
data_Pr3Ti
_cell_length_a 4.9699
_cell_length_b 4.9699
_cell_length_c 4.9699
_cell_angle_alpha 90.00
_cell_angle_beta 90.00
_cell_angle_gamma 90.00
_space_group_name_H-M_alt 'P m -3 m'
_space_group_IT_number 221
_space_group_name_Hall '-P 4 2 3'
loop_
_atom_site_label
_atom_site_fract_x
_atom_site_fract_y
_atom_site_fract_z
Pr1 0.0000 0.0000 0.5000
Ti1 0.5000 0.5000 0.5000
```

The 10 most intense peaks (2θ from 10° to 90°), by intensity:
| two_theta | intensity |
| --- | --- |
| 31.17 | 100.0 |
| 36.15 | 50.3 |
| 61.92 | 41.2 |
| 52.05 | 35.0 |
| 85.09 | 17.0 |
| 87.85 | 15.9 |
| 65.01 | 11.8 |
| 17.85 | 11.1 |
| 25.34 | 9.9 |
| 40.59 | 5.9 |


(3)
For Pr3Tl, a crystal structure in the Materials Project, relaxed with GGA-PBE gives the calculated powder XRD pattern in this record (Cu Kα, 1.54184 Å).
Kinematic intensities with the Lorentz-polarization factor, no thermal factor.

Structure:
```
data_Pr3Tl
_cell_length_a 5.0404
_cell_length_b 5.0404
_cell_length_c 5.0404
_cell_angle_alpha 90.00
_cell_angle_beta 90.00
_cell_angle_gamma 90.00
_space_group_name_H-M_alt 'P m -3 m'
_space_group_IT_number 221
_space_group_name_Hall '-P 4 2 3'
loop_
_atom_site_label
_atom_site_fract_x
_atom_site_fract_y
_atom_site_fract_z
Pr1 0.0000 0.0000 0.5000
Tl1 0.5000 0.5000 0.5000
```

The 10 most intense peaks (2θ from 10° to 90°), by intensity:
| two_theta | intensity |
| --- | --- |
| 30.72 | 100.0 |
| 35.62 | 50.6 |
| 60.96 | 42.9 |
| 51.27 | 36.1 |
| 83.62 | 17.8 |
| 86.32 | 16.6 |
| 63.99 | 12.4 |
| 75.44 | 5.7 |
| 17.60 | 2.2 |
| 24.98 | 2.0 |


(4)
For Pr3Tl5, a crystal structure in the Materials Project, relaxed with GGA-PBE gives the calculated powder XRD pattern in this record (Cu Kα, 1.54184 Å).
Kinematic intensities with the Lorentz-polarization factor, no thermal factor.

Structure:
```
data_Pr3Tl5
_cell_length_a 10.6003
_cell_length_b 8.4639
_cell_length_c 10.6335
_cell_angle_alpha 90.00
_cell_angle_beta 90.00
_cell_angle_gamma 90.00
_space_group_name_H-M_alt 'C m c m'
_space_group_IT_number 63
_space_group_name_Hall '-C 2c 2'
loop_
_atom_site_label
_atom_site_fract_x
_atom_site_fract_y
_atom_site_fract_z
Pr1 0.0000 0.1292 0.2500
Pr2 0.2017 0.5000 0.0000
Tl1 0.0000 0.1932 0.5526
Tl2 0.0000 0.4960 0.7500
Tl3 0.2242 0.2159 0.7500
```

The 10 most intense peaks (2θ from 10° to 90°), by intensity:
| two_theta | intensity |
| --- | --- |
| 31.87 | 100.0 |
| 33.82 | 28.2 |
| 32.85 | 27.7 |
| 33.72 | 26.8 |
| 37.48 | 22.5 |
| 32.20 | 21.7 |
| 28.58 | 19.1 |
| 37.18 | 18.2 |
| 54.11 | 14.0 |
| 63.39 | 13.4 |


(5)
For Pr5Tl3, a crystal structure in the Materials Project, relaxed with GGA-PBE gives the calculated powder XRD pattern in this record (Cu Kα, 1.54184 Å).
Kinematic intensities with the Lorentz-polarization factor, no thermal factor.

Structure:
```
data_Pr5Tl3
_cell_length_a 12.7108
_cell_length_b 12.7108
_cell_length_c 6.3647
_cell_angle_alpha 90.00
_cell_angle_beta 90.00
_cell_angle_gamma 90.00
_space_group_name_H-M_alt 'I 4/m c m'
_space_group_IT_number 140
_space_group_name_Hall '-I 4 2c'
loop_
_atom_site_label
_atom_site_fract_x
_atom_site_fract_y
_atom_site_fract_z
Pr1 0.0000 0.5000 0.2500
Pr2 0.0859 0.2183 0.0000
Tl1 0.0000 0.0000 0.2500
Tl2 0.1608 0.3392 0.5000
```

The 10 most intense peaks (2θ from 10° to 90°), by intensity:
| two_theta | intensity |
| --- | --- |
| 31.46 | 100.0 |
| 32.26 | 76.2 |
| 28.95 | 35.8 |
| 60.00 | 23.2 |
| 34.54 | 23.2 |
| 40.77 | 20.5 |
| 40.10 | 20.0 |
| 52.35 | 19.7 |
| 28.04 | 16.2 |
| 41.40 | 15.9 |


(6)
For PrTmTl2, a crystal structure in the Materials Project, relaxed with GGA-PBE gives the calculated powder XRD pattern in this record (Cu Kα, 1.54184 Å).
Kinematic intensities with the Lorentz-polarization factor, no thermal factor.

Structure:
```
data_PrTmTl2
_cell_length_a 7.7008
_cell_length_b 7.7008
_cell_length_c 7.7008
_cell_angle_alpha 90.00
_cell_angle_beta 90.00
_cell_angle_gamma 90.00
_space_group_name_H-M_alt 'F m -3 m'
_space_group_IT_number 225
_space_group_name_Hall '-F 4 2 3'
loop_
_atom_site_label
_atom_site_fract_x
_atom_site_fract_y
_atom_site_fract_z
Pr1 0.0000 0.0000 0.0000
Tm1 0.0000 0.0000 0.5000
Tl1 0.2500 0.2500 0.2500
```

The 9 most intense peaks (2θ from 10° to 90°), by intensity:
| two_theta | intensity |
| --- | --- |
| 32.90 | 100.0 |
| 58.74 | 38.8 |
| 47.21 | 18.5 |
| 78.57 | 16.8 |
| 68.99 | 12.0 |
| 87.83 | 4.4 |
| 23.10 | 1.8 |
| 53.19 | 0.9 |
| 40.58 | 0.6 |


What is the formula in the sixth record?
PrTmTl2